Starting from a cell relaxed with GGA+U, the X-ray powder pattern of Li7Co5O12 was computed for Cu Kα (weighted mean of Kα1 and Kα2).

Top 6 peaks for 2θ from 10° to 90°, by intensity:
2theta  Rel. int.
18.5  100.0
44.0  54.1
36.7  26.3
45.2  24.4
65.4  13.5
64.4  13.4

Structure:
Unit cell a=7.543 b=7.543 c=11.801 alpha=124.85 beta=124.85 gamma=21.91
Positions (direct):
Li (0.000, 0.000, 0.000)
Li (0.002, 0.002, 0.248)
Li (0.333, 0.333, 0.251)
Li (0.340, 0.340, 0.760)
Li (0.660, 0.660, 0.240)
Li (0.667, 0.667, 0.749)
Li (0.998, 0.998, 0.752)
Co (0.000, 0.000, 0.500)
Co (0.331, 0.331, 0.494)
Co (0.338, 0.338, 0.005)
Co (0.662, 0.662, 0.995)
Co (0.669, 0.669, 0.506)
O (0.160, 0.160, 0.620)
O (0.168, 0.168, 0.106)
O (0.174, 0.174, 0.894)
O (0.175, 0.175, 0.384)
O (0.487, 0.487, 0.119)
O (0.489, 0.489, 0.603)
O (0.511, 0.511, 0.397)
O (0.513, 0.513, 0.881)
O (0.825, 0.825, 0.616)
O (0.826, 0.826, 0.106)
O (0.832, 0.832, 0.894)
O (0.840, 0.840, 0.380)